No. 1
The following is a calculated X-ray diffraction stick pattern of Tb5ThIn3. It was derived from the GGA-PBE geometry in Alexandria, using Cu Kα (weighted mean of Kα1 and Kα2).

Top 8 peaks for 2θ = 10–80°, in order of rising 2θ:
- 32.8 deg, intensity 100
- 42.7 deg, intensity 2
- 47.1 deg, intensity 18
- 54.8 deg, intensity 4
- 58.6 deg, intensity 28
- 65.3 deg, intensity 14
- 68.9 deg, intensity 6
- 78.4 deg, intensity 8

Structural model:
```
data_Tb5ThIn3
_chemical_formula_sum 'Tb10 Th2 In6'
_cell_length_a 9.4455
_cell_length_b 9.4455
_cell_length_c 6.7061
_cell_angle_alpha 90.00
_cell_angle_beta 90.00
_cell_angle_gamma 120.00
_space_group_name_H-M_alt 'P 63/m c m'
_space_group_IT_number 193
_space_group_name_Hall '-P 6c 2'
loop_
_atom_site_label
_atom_site_type_symbol
_atom_site_fract_x
_atom_site_fract_y
_atom_site_fract_z
_atom_site_occupancy
Tb1 Tb 0.0000 0.3270 0.2500 1
Tb2 Tb 0.3333 0.6667 0.0000 1
Th1 Th 0.0000 0.0000 0.0000 1
In1 In 0.0000 0.3419 0.7500 1
```

---

No. 2
The following is a calculated X-ray diffraction stick pattern of La2CePmS4. It was derived from the GGA-PBE geometry in Alexandria, using Cu Kα (weighted mean of Kα1 and Kα2).

Top 8 peaks for 2θ = 10–80°, in order of rising 2θ:
- 26.6 deg, intensity 36
- 26.7 deg, intensity 36
- 30.9 deg, intensity 100
- 44.2 deg, intensity 36
- 44.3 deg, intensity 36
- 52.3 deg, intensity 15
- 52.5 deg, intensity 15
- 55.0 deg, intensity 13

Structural model:
```
data_La2CePmS4
_chemical_formula_sum 'La2 Ce1 Pm1 S4'
_cell_length_a 7.0884
_cell_length_b 4.0818
_cell_length_c 7.1072
_cell_angle_alpha 90.00
_cell_angle_beta 109.36
_cell_angle_gamma 90.00
_space_group_name_H-M_alt 'P 1 2/m 1'
_space_group_IT_number 10
_space_group_name_Hall '-P 2y'
loop_
_atom_site_label
_atom_site_type_symbol
_atom_site_fract_x
_atom_site_fract_y
_atom_site_fract_z
_atom_site_occupancy
La1 La 0.0000 0.0000 0.0000 1
La2 La 0.5000 0.5000 0.0000 1
Ce1 Ce 0.0000 0.5000 0.5000 1
Pm1 Pm 0.5000 0.0000 0.5000 1
S1 S 0.2470 0.0000 0.7412 1
S2 S 0.2526 0.5000 0.2587 1
```

---

No. 3
The following is a calculated X-ray diffraction stick pattern of Th3TlTc. It was derived from the GGA-PBE geometry in Alexandria, using Cu Kα (weighted mean of Kα1 and Kα2).

Top 8 peaks for 2θ = 10–80°, in order of rising 2θ:
- 27.2 deg, intensity 51
- 29.6 deg, intensity 100
- 30.9 deg, intensity 80
- 33.3 deg, intensity 74
- 33.8 deg, intensity 81
- 34.4 deg, intensity 88
- 36.2 deg, intensity 37
- 51.8 deg, intensity 40

Structural model:
```
data_Th3TlTc
_chemical_formula_sum 'Th24 Tl8 Tc8'
_cell_length_a 6.6104
_cell_length_b 10.3850
_cell_length_c 16.9255
_cell_angle_alpha 90.00
_cell_angle_beta 90.00
_cell_angle_gamma 90.00
_space_group_name_H-M_alt 'F m m m'
_space_group_IT_number 69
_space_group_name_Hall '-F 2 2'
loop_
_atom_site_label
_atom_site_type_symbol
_atom_site_fract_x
_atom_site_fract_y
_atom_site_fract_z
_atom_site_occupancy
Th1 Th 0.0000 0.0000 0.1919 1
Th2 Th 0.0000 0.1787 0.3799 1
Tl1 Tl 0.2175 0.0000 0.0000 1
Tc1 Tc 0.2500 0.2500 0.2500 1
```

---

No. 4
The following is a calculated X-ray diffraction stick pattern of Ho8Tm4Sc. It was derived from the GGA-PBE geometry in Alexandria, using Cu Kα (weighted mean of Kα1 and Kα2).

Top 8 peaks for 2θ = 10–80°, in order of rising 2θ:
- 29.0 deg, intensity 26
- 30.0 deg, intensity 39
- 31.8 deg, intensity 100
- 33.3 deg, intensity 57
- 39.6 deg, intensity 27
- 51.0 deg, intensity 31
- 53.3 deg, intensity 22
- 60.3 deg, intensity 30

Structural model:
```
data_Ho8Tm4Sc
_chemical_formula_sum 'Ho24 Tm12 Sc3'
_cell_length_a 7.1677
_cell_length_b 7.1677
_cell_length_c 26.8403
_cell_angle_alpha 90.00
_cell_angle_beta 90.00
_cell_angle_gamma 120.00
_space_group_name_H-M_alt 'R -3 m'
_space_group_IT_number 166
_space_group_name_Hall '-R 3 2"'
loop_
_atom_site_label
_atom_site_type_symbol
_atom_site_fract_x
_atom_site_fract_y
_atom_site_fract_z
_atom_site_occupancy
Ho1 Ho 0.0000 0.0000 0.2165 1
Ho2 Ho 0.0303 0.5152 0.7684 1
Tm1 Tm 0.0000 0.0000 0.0000 1
Tm2 Tm 0.0000 0.5000 0.0000 1
Sc1 Sc 0.0000 0.0000 0.5000 1
```

---

No. 5
The following is a calculated X-ray diffraction stick pattern of Tl2Cd3Pd8. It was derived from the GGA-PBE geometry in Alexandria, using Cu Kα (weighted mean of Kα1 and Kα2).

Top 8 peaks for 2θ = 10–80°, in order of rising 2θ:
- 22.5 deg, intensity 17
- 33.4 deg, intensity 42
- 34.6 deg, intensity 24
- 38.1 deg, intensity 100
- 39.2 deg, intensity 44
- 41.6 deg, intensity 22
- 62.8 deg, intensity 39
- 70.1 deg, intensity 22

Structural model:
```
data_Tl2Cd3Pd8
_chemical_formula_sum 'Tl6 Cd9 Pd24'
_cell_length_a 5.3681
_cell_length_b 5.3681
_cell_length_c 30.1945
_cell_angle_alpha 90.00
_cell_angle_beta 90.00
_cell_angle_gamma 120.00
_space_group_name_H-M_alt 'R -3 m'
_space_group_IT_number 166
_space_group_name_Hall '-R 3 2"'
loop_
_atom_site_label
_atom_site_type_symbol
_atom_site_fract_x
_atom_site_fract_y
_atom_site_fract_z
_atom_site_occupancy
Tl1 Tl 0.0000 0.0000 0.1382 1
Cd1 Cd 0.0000 0.0000 0.3164 1
Cd2 Cd 0.0000 0.0000 0.5000 1
Pd1 Pd 0.0000 0.0000 0.2276 1
Pd2 Pd 0.0021 0.5010 0.2715 1
```

---

No. 6
The following is a calculated X-ray diffraction stick pattern of Fe3Co5. It was derived from the GGA-PBE geometry in Alexandria, using Cu Kα (weighted mean of Kα1 and Kα2).

Top 3 peaks for 2θ = 10–80°, in order of rising 2θ:
- 45.3 deg, intensity 100
- 65.9 deg, intensity 10
- 66.1 deg, intensity 5

Structural model:
```
data_Fe3Co5
_chemical_formula_sum 'Fe3 Co5'
_cell_length_a 4.0095
_cell_length_b 4.0095
_cell_length_c 5.6554
_cell_angle_alpha 90.00
_cell_angle_beta 90.00
_cell_angle_gamma 90.00
_space_group_name_H-M_alt 'P -4 m 2'
_space_group_IT_number 115
_space_group_name_Hall 'P -4 -2'
loop_
_atom_site_label
_atom_site_type_symbol
_atom_site_fract_x
_atom_site_fract_y
_atom_site_fract_z
_atom_site_occupancy
Fe1 Fe 0.0000 0.0000 0.0000 1
Fe2 Fe 0.0000 0.5000 0.2547 1
Co1 Co 0.0000 0.0000 0.5000 1
Co2 Co 0.0000 0.5000 0.7563 1
Co3 Co 0.5000 0.5000 0.0000 1
Co4 Co 0.5000 0.5000 0.5000 1
```

---

No. 7
The following is a calculated X-ray diffraction stick pattern of Mg14AlB. It was derived from the GGA-PBE geometry in Alexandria, using Cu Kα (weighted mean of Kα1 and Kα2).

Top 8 peaks for 2θ = 10–80°, in order of rising 2θ:
- 33.0 deg, intensity 25
- 36.6 deg, intensity 24
- 37.9 deg, intensity 100
- 50.1 deg, intensity 14
- 58.9 deg, intensity 17
- 66.8 deg, intensity 16
- 71.4 deg, intensity 18
- 72.2 deg, intensity 13

Structural model:
```
data_Mg14AlB
_chemical_formula_sum 'Mg14 Al1 B1'
_cell_length_a 6.2733
_cell_length_b 6.2733
_cell_length_c 9.8144
_cell_angle_alpha 90.00
_cell_angle_beta 90.00
_cell_angle_gamma 120.00
_space_group_name_H-M_alt 'P -6 m 2'
_space_group_IT_number 187
_space_group_name_Hall 'P -6 2'
loop_
_atom_site_label
_atom_site_type_symbol
_atom_site_fract_x
_atom_site_fract_y
_atom_site_fract_z
_atom_site_occupancy
Mg1 Mg 0.0000 0.0000 0.2487 1
Mg2 Mg 0.0133 0.5066 0.2639 1
Mg3 Mg 0.3262 0.1631 0.5000 1
Mg4 Mg 0.3381 0.1690 0.0000 1
Al1 Al 0.3333 0.6667 0.0000 1
B1 B 0.3333 0.6667 0.5000 1
```

---

No. 8
The following is a calculated X-ray diffraction stick pattern of PuIn3Rh4. It was derived from the GGA-PBE geometry in Alexandria, using Cu Kα (weighted mean of Kα1 and Kα2).

Top 8 peaks for 2θ = 10–80°, in order of rising 2θ:
- 20.2 deg, intensity 6
- 30.3 deg, intensity 4
- 38.5 deg, intensity 51
- 38.7 deg, intensity 100
- 55.6 deg, intensity 17
- 56.3 deg, intensity 9
- 69.9 deg, intensity 34
- 70.3 deg, intensity 17

Structural model:
```
data_PuIn3Rh4
_chemical_formula_sum 'Pu2 In6 Rh8'
_cell_length_a 4.6719
_cell_length_b 4.6719
_cell_length_c 13.0792
_cell_angle_alpha 90.00
_cell_angle_beta 90.00
_cell_angle_gamma 90.00
_space_group_name_H-M_alt 'I 4/m m m'
_space_group_IT_number 139
_space_group_name_Hall '-I 4 2'
loop_
_atom_site_label
_atom_site_type_symbol
_atom_site_fract_x
_atom_site_fract_y
_atom_site_fract_z
_atom_site_occupancy
Pu1 Pu 0.0000 0.0000 0.0000 1
In1 In 0.0000 0.0000 0.2533 1
In2 In 0.0000 0.0000 0.5000 1
Rh1 Rh 0.0000 0.5000 0.1306 1
```

---

No. 9
The following is a calculated X-ray diffraction stick pattern of ScZn3Ni4. It was derived from the GGA-PBE geometry in Alexandria, using Cu Kα (weighted mean of Kα1 and Kα2).

Top 8 peaks for 2θ = 10–80°, in order of rising 2θ:
- 39.8 deg, intensity 14
- 41.1 deg, intensity 17
- 42.4 deg, intensity 35
- 42.5 deg, intensity 15
- 44.0 deg, intensity 100
- 52.7 deg, intensity 8
- 60.5 deg, intensity 10
- 78.7 deg, intensity 16

Structural model:
```
data_ScZn3Ni4
_chemical_formula_sum 'Sc2 Zn6 Ni8'
_cell_length_a 8.5308
_cell_length_b 5.5544
_cell_length_c 4.3889
_cell_angle_alpha 90.00
_cell_angle_beta 90.00
_cell_angle_gamma 90.00
_space_group_name_H-M_alt 'P m m a'
_space_group_IT_number 51
_space_group_name_Hall '-P 2a 2a'
loop_
_atom_site_label
_atom_site_type_symbol
_atom_site_fract_x
_atom_site_fract_y
_atom_site_fract_z
_atom_site_occupancy
Sc1 Sc 0.0000 0.0000 0.0000 1
Zn1 Zn 0.0000 0.5000 0.0000 1
Zn2 Zn 0.2500 0.0000 0.4376 1
Zn3 Zn 0.2500 0.5000 0.3982 1
Ni1 Ni 0.0000 0.2643 0.5000 1
Ni2 Ni 0.2500 0.2708 0.8939 1
```

---

No. 10
The following is a calculated X-ray diffraction stick pattern of Zn2Cd3Ag7. It was derived from the GGA-PBE geometry in Alexandria, using Cu Kα (weighted mean of Kα1 and Kα2).

Top 8 peaks for 2θ = 10–80°, in order of rising 2θ:
- 31.2 deg, intensity 24
- 37.4 deg, intensity 25
- 38.5 deg, intensity 56
- 38.7 deg, intensity 100
- 40.3 deg, intensity 24
- 40.4 deg, intensity 47
- 56.9 deg, intensity 17
- 69.7 deg, intensity 16

Structural model:
```
data_Zn2Cd3Ag7
_chemical_formula_sum 'Zn2 Cd3 Ag7'
_cell_length_a 5.1950
_cell_length_b 4.6815
_cell_length_c 9.6961
_cell_angle_alpha 90.00
_cell_angle_beta 92.88
_cell_angle_gamma 90.00
_space_group_name_H-M_alt 'P 1 2/m 1'
_space_group_IT_number 10
_space_group_name_Hall '-P 2y'
loop_
_atom_site_label
_atom_site_type_symbol
_atom_site_fract_x
_atom_site_fract_y
_atom_site_fract_z
_atom_site_occupancy
Zn1 Zn 0.1210 0.0000 0.2860 1
Cd1 Cd 0.0000 0.0000 0.0000 1
Cd2 Cd 0.4322 0.5000 0.3450 1
Ag1 Ag 0.0633 0.5000 0.8139 1
Ag2 Ag 0.2599 0.0000 0.5509 1
Ag3 Ag 0.4325 0.0000 0.8368 1
Ag4 Ag 0.5000 0.5000 0.0000 1
```

---

No. 11
The following is a calculated X-ray diffraction stick pattern of La4YPb. It was derived from the GGA-PBE geometry in Alexandria, using Cu Kα (weighted mean of Kα1 and Kα2).

Top 8 peaks for 2θ = 10–80°, in order of rising 2θ:
- 26.8 deg, intensity 28
- 31.5 deg, intensity 100
- 33.0 deg, intensity 39
- 50.4 deg, intensity 36
- 55.2 deg, intensity 30
- 65.0 deg, intensity 13
- 65.9 deg, intensity 16
- 78.0 deg, intensity 22

Structural model:
```
data_La4YPb
_chemical_formula_sum 'La16 Y4 Pb4'
_cell_length_a 9.4067
_cell_length_b 9.4067
_cell_length_c 9.4067
_cell_angle_alpha 90.00
_cell_angle_beta 90.00
_cell_angle_gamma 90.00
_space_group_name_H-M_alt 'F -4 3 m'
_space_group_IT_number 216
_space_group_name_Hall 'F -4 2 3'
loop_
_atom_site_label
_atom_site_type_symbol
_atom_site_fract_x
_atom_site_fract_y
_atom_site_fract_z
_atom_site_occupancy
La1 La 0.1240 0.1240 0.3760 1
Y1 Y 0.2500 0.2500 0.7500 1
Pb1 Pb 0.0000 0.0000 0.0000 1
```

---

No. 12
The following is a calculated X-ray diffraction stick pattern of Cs2Ag2PbCl6. It was derived from the GGA-PBE geometry in Alexandria, using Cu Kα (weighted mean of Kα1 and Kα2).

Top 8 peaks for 2θ = 10–80°, in order of rising 2θ:
- 20.7 deg, intensity 34
- 22.3 deg, intensity 100
- 22.5 deg, intensity 45
- 25.4 deg, intensity 65
- 31.8 deg, intensity 31
- 32.8 deg, intensity 26
- 39.3 deg, intensity 21
- 45.5 deg, intensity 23

Structural model:
```
data_Cs2Ag2PbCl6
_chemical_formula_sum 'Cs4 Ag4 Pb2 Cl12'
_cell_length_a 13.9406
_cell_length_b 7.9123
_cell_length_c 8.0316
_cell_angle_alpha 90.00
_cell_angle_beta 119.04
_cell_angle_gamma 90.00
_space_group_name_H-M_alt 'C 1 2/m 1'
_space_group_IT_number 12
_space_group_name_Hall '-C 2y'
loop_
_atom_site_label
_atom_site_type_symbol
_atom_site_fract_x
_atom_site_fract_y
_atom_site_fract_z
_atom_site_occupancy
Cs1 Cs 0.2303 0.0000 0.1944 1
Ag1 Ag 0.0621 0.5000 0.2122 1
Pb1 Pb 0.0000 0.0000 0.5000 1
Cl1 Cl 0.0509 0.2455 0.8008 1
Cl2 Cl 0.2342 0.0000 0.6375 1
```